For LaPmPdRh, a DFT-relaxed cell (GGA-PBE, Alexandria) gives the computed PXRD pattern in this record (CuKα).
Intensities are scaled so that the largest is 100.

Cell: 7.187 7.187 7.187 Å, 90.00 90.00 90.00°
Fractional coordinates of all 16 atoms:
La 0.000 0.000 0.000
La 0.000 0.500 0.500
La 0.500 0.000 0.500
La 0.500 0.500 0.000
Pm 0.000 0.000 0.500
Pm 0.000 0.500 0.000
Pm 0.500 0.000 0.000
Pm 0.500 0.500 0.500
Pd 0.250 0.250 0.750
Pd 0.250 0.750 0.250
Pd 0.750 0.250 0.250
Pd 0.750 0.750 0.750
Rh 0.250 0.250 0.250
Rh 0.250 0.750 0.750
Rh 0.750 0.250 0.750
Rh 0.750 0.750 0.250

Principal peaks in the range 2θ = 10–80°, by angle:
| (hkl) | Position (°2θ) | intensity |
| --- | --- | --- |
| 2 0 0 | 24.78 | 2 |
| 2 2 0 | 35.33 | 100 |
| 2 2 2 | 43.63 | 1 |
| 4 0 0 | 50.82 | 18 |
| 4 2 0 | 57.34 | 1 |
| 4 2 2 | 63.41 | 36 |
| 4 4 0 | 74.72 | 11 |